# 1
PmSmHo3Sc: theoretical X-ray powder pattern (Cu Kα (weighted mean of Kα1 and Kα2)), based on DFT lattice parameters and positions (PBE).
No peak broadening, texture or thermal motion is included.

Principal peaks in the range 5° ≤ 2θ ≤ 70°, in order of rising 2θ:
- 14.83 deg, intensity 36
- 17.81 deg, intensity 20
- 20.81 deg, intensity 43
- 25.30 deg, intensity 17
- 25.48 deg, intensity 16
- 31.11 deg, intensity 1000
- 36.07 deg, intensity 504
- 51.94 deg, intensity 355
- 61.79 deg, intensity 419
- 64.87 deg, intensity 124

Crystal structure
Unit cell a=7.871 b=7.871 c=9.960 alpha=90.00 beta=90.00 gamma=143.10
Sites, in units of the cell vectors:
Pm 0.002 0.998 0.750
Pm 0.998 0.002 0.250
Sm 0.500 0.500 0.000
Sm 0.500 0.500 0.500
Ho 0.169 0.831 0.000
Ho 0.169 0.831 0.500
Ho 0.330 0.670 0.750
Ho 0.670 0.330 0.250
Ho 0.831 0.169 0.000
Ho 0.831 0.169 0.500
Sc 0.332 0.668 0.250
Sc 0.668 0.332 0.750


# 2
Pm6Sn12Au: theoretical X-ray powder pattern (Cu Kα (weighted mean of Kα1 and Kα2)), based on DFT lattice parameters and positions (PBE).
No peak broadening, texture or thermal motion is included.

Principal peaks in the range 5° ≤ 2θ ≤ 70°, in order of rising 2θ:
- 23.57 deg, intensity 174
- 28.11 deg, intensity 485
- 32.92 deg, intensity 173
- 34.27 deg, intensity 857
- 36.36 deg, intensity 1000
- 37.00 deg, intensity 523
- 50.28 deg, intensity 178
- 56.75 deg, intensity 291
- 63.59 deg, intensity 258
- 67.58 deg, intensity 175

Crystal structure
Unit cell a=8.377 b=8.377 c=8.377 alpha=102.60 beta=102.60 gamma=102.60
Sites, in units of the cell vectors:
Pm 0.051 0.308 0.411
Pm 0.308 0.411 0.051
Pm 0.411 0.051 0.308
Pm 0.589 0.949 0.692
Pm 0.692 0.589 0.949
Pm 0.949 0.692 0.589
Sn 0.001 0.095 0.704
Sn 0.095 0.704 0.001
Sn 0.242 0.677 0.379
Sn 0.296 0.999 0.905
Sn 0.323 0.621 0.758
Sn 0.379 0.242 0.677
Sn 0.621 0.758 0.323
Sn 0.677 0.379 0.242
Sn 0.704 0.001 0.095
Sn 0.758 0.323 0.621
Sn 0.905 0.296 0.999
Sn 0.999 0.905 0.296
Au 0.500 0.500 0.500